Record 1
Starting from DFT lattice parameters and positions (PBE), the X-ray diffraction stick pattern of In2GaB2 was simulated for Cu Ka.
Peak positions follow from Bragg's law for the DFT cell and can differ from measured ones.

```
data_In2GaB2
_chemical_formula_sum 'In4 Ga2 B4'
_cell_length_a 4.2779
_cell_length_b 4.2779
_cell_length_c 9.2480
_cell_angle_alpha 90.00
_cell_angle_beta 90.00
_cell_angle_gamma 90.00
_symmetry_space_group_name_H-M 'I 4/m m m'
_symmetry_Int_Tables_number 139
_symmetry_space_group_name_Hall '-I 4 2'
loop_
_atom_site_label
_atom_site_type_symbol
_atom_site_fract_x
_atom_site_fract_y
_atom_site_fract_z
_atom_site_occupancy
In1 In 0.0000 0.5000 0.2500 1
Ga1 Ga 0.0000 0.0000 0.0000 1
B1 B 0.0000 0.0000 0.4107 1
```

The 10 most intense peaks (2θ = 15–90°), sorted by position:
| 2theta | Rel. int. |
| --- | --- |
| 19.19 | 27.2 |
| 29.53 | 16.9 |
| 35.46 | 100.0 |
| 38.96 | 17.2 |
| 42.25 | 31.9 |
| 46.80 | 10.8 |
| 49.63 | 10.8 |
| 58.81 | 20.0 |
| 68.30 | 12.2 |
| 72.85 | 22.9 |


Record 2
Starting from DFT lattice parameters and positions (PBE), the X-ray diffraction stick pattern of Zr2InNi2 was simulated for Cu Ka.
Peak positions follow from Bragg's law for the DFT cell and can differ from measured ones.

```
data_Zr2InNi2
_chemical_formula_sum 'Zr8 In4 Ni8'
_cell_length_a 7.2187
_cell_length_b 7.2187
_cell_length_c 6.7116
_cell_angle_alpha 90.00
_cell_angle_beta 90.00
_cell_angle_gamma 90.00
_symmetry_space_group_name_H-M 'P 42/m n m'
_symmetry_Int_Tables_number 136
_symmetry_space_group_name_Hall '-P 4n 2n'
loop_
_atom_site_label
_atom_site_type_symbol
_atom_site_fract_x
_atom_site_fract_y
_atom_site_fract_z
_atom_site_occupancy
Zr1 Zr 0.1589 0.1589 0.0000 1
Zr2 Zr 0.1784 0.1784 0.5000 1
In1 In 0.0000 0.5000 0.2500 1
Ni1 Ni 0.1247 0.8753 0.2749 1
```

The 10 most intense peaks (2θ = 15–90°), sorted by position:
| 2theta | Rel. int. |
| --- | --- |
| 31.92 | 16.7 |
| 35.16 | 18.5 |
| 36.56 | 53.3 |
| 38.70 | 100.0 |
| 39.48 | 69.0 |
| 54.70 | 14.6 |
| 61.06 | 14.0 |
| 69.53 | 22.1 |
| 72.46 | 14.7 |
| 76.53 | 11.2 |


Record 3
Starting from DFT lattice parameters and positions (PBE), the X-ray diffraction stick pattern of Rb2In2Sb3 was simulated for Cu Ka.
Peak positions follow from Bragg's law for the DFT cell and can differ from measured ones.

```
data_Rb2In2Sb3
_chemical_formula_sum 'Rb16 In16 Sb24'
_cell_length_a 15.8475
_cell_length_b 7.7453
_cell_length_c 17.6705
_cell_angle_alpha 90.00
_cell_angle_beta 90.52
_cell_angle_gamma 90.00
_symmetry_space_group_name_H-M 'P 1 21/c 1'
_symmetry_Int_Tables_number 14
loop_
_symmetry_equiv_pos_as_xyz
'x,y,z'
'-x,-y,-z'
'-x,y+1/2,-z+1/2'
'x,-y+1/2,z+1/2'
loop_
_atom_site_label
_atom_site_type_symbol
_atom_site_fract_x
_atom_site_fract_y
_atom_site_fract_z
_atom_site_occupancy
Rb1 Rb 0.0568 0.0560 0.1036 1
Rb2 Rb 0.1534 0.5485 0.0207 1
Rb3 Rb 0.3571 0.0303 0.0068 1
Rb4 Rb 0.4225 0.5324 0.1115 1
In1 In 0.0932 0.7397 0.2592 1
In2 In 0.1850 0.2208 0.3307 1
In3 In 0.3181 0.7368 0.3229 1
In4 In 0.4076 0.2109 0.2702 1
Sb1 Sb 0.0237 0.0398 0.3377 1
Sb2 Sb 0.1702 0.5650 0.3893 1
Sb3 Sb 0.2483 0.6651 0.6749 1
Sb4 Sb 0.2528 0.2080 0.1792 1
Sb5 Sb 0.3368 0.0544 0.4050 1
Sb6 Sb 0.4734 0.5367 0.3281 1
```

The 10 most intense peaks (2θ = 15–90°), sorted by position:
| 2theta | Rel. int. |
| --- | --- |
| 23.52 | 43.9 |
| 25.11 | 100.0 |
| 25.30 | 62.9 |
| 25.49 | 43.7 |
| 25.60 | 46.6 |
| 25.73 | 82.8 |
| 28.32 | 95.9 |
| 29.63 | 50.5 |
| 40.20 | 56.3 |
| 41.76 | 58.1 |


Record 4
Starting from DFT lattice parameters and positions (PBE), the X-ray diffraction stick pattern of PrEr3S6 was simulated for Cu Ka.
Peak positions follow from Bragg's law for the DFT cell and can differ from measured ones.

```
data_PrEr3S6
_chemical_formula_sum 'Pr2 Er6 S12'
_cell_length_a 11.0395
_cell_length_b 3.9772
_cell_length_c 11.3103
_cell_angle_alpha 90.00
_cell_angle_beta 108.81
_cell_angle_gamma 90.00
_symmetry_space_group_name_H-M 'P 1 21/m 1'
_symmetry_Int_Tables_number 11
loop_
_symmetry_equiv_pos_as_xyz
'x,y,z'
'-x,-y,-z'
'-x,y+1/2,-z'
'x,-y+1/2,z'
loop_
_atom_site_label
_atom_site_type_symbol
_atom_site_fract_x
_atom_site_fract_y
_atom_site_fract_z
_atom_site_occupancy
Pr1 Pr 0.0495 0.2500 0.1954 1
Er1 Er 0.1611 0.2500 0.5872 1
Er2 Er 0.3202 0.7500 0.9985 1
Er3 Er 0.4420 0.2500 0.3328 1
S1 S 0.0822 0.7500 0.4071 1
S2 S 0.1195 0.2500 0.9635 1
S3 S 0.1976 0.7500 0.7487 1
S4 S 0.2664 0.7500 0.2284 1
S5 S 0.3944 0.2500 0.5582 1
S6 S 0.4778 0.2500 0.1113 1
```

The 10 most intense peaks (2θ = 15–90°), sorted by position:
| 2theta | Rel. int. |
| --- | --- |
| 23.60 | 78.2 |
| 24.19 | 100.0 |
| 26.27 | 66.6 |
| 27.43 | 44.5 |
| 27.60 | 49.9 |
| 30.99 | 70.4 |
| 34.22 | 50.1 |
| 42.29 | 74.6 |
| 43.89 | 39.5 |
| 45.62 | 49.5 |


Record 5
Starting from DFT lattice parameters and positions (PBE), the X-ray diffraction stick pattern of Sn2HgN was simulated for Cu Ka.
Peak positions follow from Bragg's law for the DFT cell and can differ from measured ones.

```
data_Sn2HgN
_chemical_formula_sum 'Sn6 Hg3 N3'
_cell_length_a 4.3330
_cell_length_b 4.3330
_cell_length_c 22.1927
_cell_angle_alpha 90.00
_cell_angle_beta 90.00
_cell_angle_gamma 120.00
_symmetry_space_group_name_H-M 'R -3 m'
_symmetry_Int_Tables_number 166
_symmetry_space_group_name_Hall '-R 3 2"'
loop_
_atom_site_label
_atom_site_type_symbol
_atom_site_fract_x
_atom_site_fract_y
_atom_site_fract_z
_atom_site_occupancy
Sn1 Sn 0.0000 0.0000 0.0879 1
Hg1 Hg 0.0000 0.0000 0.5000 1
N1 N 0.0000 0.0000 0.0000 1
```

The 10 most intense peaks (2θ = 15–90°), sorted by position:
| 2theta | Rel. int. |
| --- | --- |
| 25.05 | 100.0 |
| 31.21 | 93.0 |
| 37.12 | 47.5 |
| 41.69 | 52.7 |
| 43.53 | 19.6 |
| 47.60 | 26.2 |
| 49.26 | 26.5 |
| 52.99 | 22.0 |
| 66.47 | 38.8 |
| 69.59 | 20.1 |


Record 6
Starting from DFT lattice parameters and positions (PBE), the X-ray diffraction stick pattern of LiIn2GaHg2 was simulated for Cu Ka.
Peak positions follow from Bragg's law for the DFT cell and can differ from measured ones.

```
data_LiIn2GaHg2
_chemical_formula_sum 'Li4 In8 Ga4 Hg8'
_cell_length_a 6.1475
_cell_length_b 13.9072
_cell_length_c 6.5322
_cell_angle_alpha 90.00
_cell_angle_beta 90.00
_cell_angle_gamma 90.00
_symmetry_space_group_name_H-M 'I b a m'
_symmetry_Int_Tables_number 72
_symmetry_space_group_name_Hall '-I 2 2c'
loop_
_atom_site_label
_atom_site_type_symbol
_atom_site_fract_x
_atom_site_fract_y
_atom_site_fract_z
_atom_site_occupancy
Li1 Li 0.0000 0.0000 0.2500 1
In1 In 0.2480 0.3424 0.0000 1
Ga1 Ga 0.0000 0.5000 0.2500 1
Hg1 Hg 0.2339 0.1310 0.0000 1
```

The 10 most intense peaks (2θ = 15–90°), sorted by position:
| 2theta | Rel. int. |
| --- | --- |
| 23.64 | 50.9 |
| 25.62 | 74.4 |
| 27.31 | 86.6 |
| 29.05 | 72.0 |
| 37.79 | 98.1 |
| 39.12 | 85.8 |
| 40.29 | 100.0 |
| 43.99 | 30.8 |
| 48.36 | 59.9 |
| 60.24 | 32.0 |


Record 7
Starting from DFT lattice parameters and positions (PBE), the X-ray diffraction stick pattern of Ca5Cd2Bi5 was simulated for Cu Ka.
Peak positions follow from Bragg's law for the DFT cell and can differ from measured ones.

```
data_Ca5Cd2Bi5
_chemical_formula_sum 'Ca10 Cd4 Bi10'
_cell_length_a 10.3636
_cell_length_b 10.3636
_cell_length_c 7.9012
_cell_angle_alpha 90.00
_cell_angle_beta 90.00
_cell_angle_gamma 90.00
_symmetry_space_group_name_H-M 'I 4 m m'
_symmetry_Int_Tables_number 107
_symmetry_space_group_name_Hall 'I 4 -2'
loop_
_atom_site_label
_atom_site_type_symbol
_atom_site_fract_x
_atom_site_fract_y
_atom_site_fract_z
_atom_site_occupancy
Ca1 Ca 0.0000 0.0000 0.0000 1
Ca2 Ca 0.2065 0.2065 0.5518 1
Cd1 Cd 0.0000 0.5000 0.1082 1
Bi1 Bi 0.0000 0.0000 0.4011 1
Bi2 Bi 0.0000 0.2896 0.8581 1
```

The 10 most intense peaks (2θ = 15–90°), sorted by position:
| 2theta | Rel. int. |
| --- | --- |
| 17.11 | 17.2 |
| 22.24 | 100.0 |
| 28.19 | 24.1 |
| 33.35 | 39.6 |
| 34.62 | 30.9 |
| 35.59 | 30.4 |
| 39.35 | 29.6 |
| 43.56 | 19.3 |
| 48.70 | 26.7 |
| 59.49 | 21.3 |


Record 8
Starting from DFT lattice parameters and positions (PBE), the X-ray diffraction stick pattern of ZnGeAu4 was simulated for Cu Ka.
Peak positions follow from Bragg's law for the DFT cell and can differ from measured ones.

```
data_ZnGeAu4
_chemical_formula_sum 'Zn8 Ge8 Au32'
_cell_length_a 7.5712
_cell_length_b 8.8973
_cell_length_c 13.7931
_cell_angle_alpha 90.00
_cell_angle_beta 90.00
_cell_angle_gamma 90.00
_symmetry_space_group_name_H-M 'F d d d'
_symmetry_Int_Tables_number 70
loop_
_symmetry_equiv_pos_as_xyz
'x,y,z'
'-x,-y,-z'
'-x+1/4,-y+1/4,z'
'x+1/4,y+1/4,-z'
'x,-y+1/4,-z+1/4'
'-x,y+1/4,z+1/4'
'-x+1/4,y,-z+1/4'
'x+1/4,-y,z+1/4'
'x,y+1/2,z+1/2'
'-x,-y+1/2,-z+1/2'
'-x+1/4,-y+3/4,z+1/2'
'x+1/4,y+3/4,-z+1/2'
'x,-y+3/4,-z+3/4'
'-x,y+3/4,z+3/4'
'-x+1/4,y+1/2,-z+3/4'
'x+1/4,-y+1/2,z+3/4'
'x+1/2,y,z+1/2'
'-x+1/2,-y,-z+1/2'
'-x+3/4,-y+1/4,z+1/2'
'x+3/4,y+1/4,-z+1/2'
'x+1/2,-y+1/4,-z+3/4'
'-x+1/2,y+1/4,z+3/4'
'-x+3/4,y,-z+3/4'
'x+3/4,-y,z+3/4'
'x+1/2,y+1/2,z'
'-x+1/2,-y+1/2,-z'
'-x+3/4,-y+3/4,z'
'x+3/4,y+3/4,-z'
'x+1/2,-y+3/4,-z+1/4'
'-x+1/2,y+3/4,z+1/4'
'-x+3/4,y+1/2,-z+1/4'
'x+3/4,-y+1/2,z+1/4'
loop_
_atom_site_label
_atom_site_type_symbol
_atom_site_fract_x
_atom_site_fract_y
_atom_site_fract_z
_atom_site_occupancy
Zn1 Zn 0.1250 0.1250 0.1250 1
Ge1 Ge 0.1250 0.1250 0.6250 1
Au1 Au 0.1190 0.3753 0.2341 1
```

The 10 most intense peaks (2θ = 15–90°), sorted by position:
| 2theta | Rel. int. |
| --- | --- |
| 25.84 | 36.0 |
| 26.87 | 18.1 |
| 31.02 | 55.9 |
| 40.56 | 29.3 |
| 40.80 | 100.0 |
| 44.36 | 18.1 |
| 48.07 | 17.7 |
| 48.72 | 13.6 |
| 64.66 | 14.6 |
| 73.95 | 17.6 |